For RbNa2Tl2Te2, a PBE-relaxed structure gives the computed powder diffraction line list in this record (copper Kα).

Cell and atoms:
Cell lengths 5.2467, 5.2467, 34.1575 Å; angles 90.00, 90.00, 120.00 degrees
Space group R-3m (No. 166, hexagonal axes)
One atom of each set of equivalent atoms:
Rb 0.0000 0.0000 0.0000 x3
Na 0.0000 0.0000 0.4207 x6
Tl 0.0000 0.0000 0.1783 x6
Te 0.0000 0.0000 0.2666 x6

Main lines, by angle (2θ = 10–80°):
| 2θ/deg | intensity |
| --- | --- |
| 19.7 | 23 |
| 20.2 | 86 |
| 23.5 | 66 |
| 26.8 | 29 |
| 34.2 | 100 |
| 35.0 | 68 |
| 41.9 | 42 |
| 47.1 | 35 |
| 49.7 | 25 |
| 61.7 | 30 |